1.
For Li2Ti3MnO8, a PBE+U-relaxed structure gives the calculated PXRD pattern in this record (λ = 1.5418 Å (Cu Kα)).
Intensities are scaled so that the largest is 100.

Main lines, in order of falling intensity (10 to 80 degrees two-theta):
4.585 Å, 2θ = 19.36°, I 100
4.968 Å, 2θ = 17.85°, I 77
2.558 Å, 2θ = 35.08°, I 66
2.038 Å, 2θ = 44.46°, I 59
1.575 Å, 2θ = 58.60°, I 55
2.293 Å, 2θ = 39.30°, I 47

Structural model:
abc: 5.9684 5.9684 9.9360
angles: 90.00 90.00 120.00
Sites, in units of the cell vectors:
Li 0.0000 0.0000 0.0000
Li 0.0000 0.0000 0.5000
Li 0.3333 0.6667 0.1104
Li 0.6667 0.3333 0.6104
Ti 0.1686 0.3372 0.7833
Ti 0.1686 0.8314 0.7833
Ti 0.3372 0.1686 0.2833
Ti 0.6628 0.8314 0.7833
Ti 0.8314 0.1686 0.2833
Ti 0.8314 0.6628 0.2833
Mn 0.3333 0.6667 0.5023
Mn 0.6667 0.3333 0.0023
O 0.0000 0.0000 0.1829
O 0.0000 0.0000 0.6829
O 0.0328 0.5164 0.6744
O 0.1551 0.3102 0.3904
O 0.1551 0.8449 0.3904
O 0.3102 0.1551 0.8904
O 0.3333 0.6667 0.8928
O 0.4836 0.5164 0.6744
O 0.4836 0.9672 0.6744
O 0.5164 0.0328 0.1744
O 0.5164 0.4836 0.1744
O 0.6667 0.3333 0.3928
O 0.6898 0.8449 0.3904
O 0.8449 0.1551 0.8904
O 0.8449 0.6898 0.8904
O 0.9672 0.4836 0.1744


2.
For LiFeBO3, a PBE+U-relaxed structure gives the calculated PXRD pattern in this record (λ = 1.5418 Å (Cu Kα)).
Intensities are scaled so that the largest is 100.

Main lines, in order of falling intensity (10 to 80 degrees two-theta):
2.592 Å, 2θ = 34.61°, I 100
4.521 Å, 2θ = 19.64°, I 67
4.097 Å, 2θ = 21.69°, I 66
2.610 Å, 2θ = 34.36°, I 60
3.449 Å, 2θ = 25.83°, I 47
2.216 Å, 2θ = 40.71°, I 45

Structural model:
abc: 5.2212 5.2212 10.3720
angles: 90.88 90.88 120.20
Sites, in units of the cell vectors:
Li 0.0091 0.9909 0.5000
Li 0.6683 0.6860 0.7489
Li 0.6860 0.6683 0.2489
Li 0.9909 0.0091 0.0000
Fe 0.0036 0.3363 0.7173
Fe 0.3363 0.0036 0.2173
Fe 0.3364 0.6557 0.4654
Fe 0.6557 0.3364 0.9654
B 0.0079 0.3409 0.2083
B 0.3318 0.6685 0.9595
B 0.3409 0.0079 0.7083
B 0.6685 0.3318 0.4595
O 0.0678 0.9908 0.6950
O 0.0761 0.3977 0.9298
O 0.2736 0.5897 0.2490
O 0.3129 0.9143 0.9987
O 0.3634 0.7583 0.6791
O 0.3977 0.0761 0.4298
O 0.5897 0.2736 0.7490
O 0.6081 0.6925 0.9464
O 0.6925 0.6081 0.4464
O 0.7583 0.3634 0.1791
O 0.9143 0.3129 0.4987
O 0.9908 0.0678 0.1950


3.
For CaFe2P2HO9, a PBE+U-relaxed structure gives the calculated PXRD pattern in this record (λ = 1.5418 Å (Cu Kα)).
Intensities are scaled so that the largest is 100.

Main lines, in order of falling intensity (10 to 80 degrees two-theta):
3.096 Å, 2θ = 28.84°, I 100
2.960 Å, 2θ = 30.19°, I 72
2.417 Å, 2θ = 37.21°, I 60
2.656 Å, 2θ = 33.75°, I 55
3.243 Å, 2θ = 27.50°, I 52
5.465 Å, 2θ = 16.22°, I 51

Structural model:
abc: 9.6837 10.9304 6.4860
angles: 90.00 90.00 90.00
Sites, in units of the cell vectors:
Ca 0.0687 0.2323 0.0000
Ca 0.4313 0.7323 0.0000
Ca 0.5687 0.2677 0.0000
Ca 0.9313 0.7677 0.0000
Fe 0.0000 0.5000 0.2625
Fe 0.0000 0.5000 0.7375
Fe 0.1596 0.0576 0.5000
Fe 0.3404 0.5576 0.5000
Fe 0.5000 0.0000 0.2625
Fe 0.5000 0.0000 0.7375
Fe 0.6596 0.4424 0.5000
Fe 0.8404 0.9424 0.5000
P 0.0888 0.7453 0.5000
P 0.2066 0.9784 0.0000
P 0.2934 0.4784 0.0000
P 0.4112 0.2453 0.5000
P 0.5888 0.7547 0.5000
P 0.7066 0.5216 0.0000
P 0.7934 0.0216 0.0000
P 0.9112 0.2547 0.5000
H 0.1769 0.3846 0.5000
H 0.3231 0.8846 0.5000
H 0.6769 0.1154 0.5000
H 0.8231 0.6154 0.5000
O 0.0244 0.6872 0.3043
O 0.0244 0.6872 0.6957
O 0.0500 0.8855 0.5000
O 0.1313 0.4670 0.0000
O 0.1516 0.8489 0.0000
O 0.1584 0.0592 0.1868
O 0.1584 0.0592 0.8132
O 0.1613 0.4741 0.5000
O 0.2482 0.7288 0.5000
O 0.2518 0.2288 0.5000
O 0.3387 0.9741 0.5000
O 0.3416 0.5592 0.1868
O 0.3416 0.5592 0.8132
O 0.3484 0.3489 0.0000
O 0.3687 0.9670 0.0000
O 0.4500 0.3855 0.5000
O 0.4756 0.1872 0.3043
O 0.4756 0.1872 0.6957
O 0.5244 0.8128 0.3043
O 0.5244 0.8128 0.6957
O 0.5500 0.6145 0.5000
O 0.6313 0.0330 0.0000
O 0.6516 0.6511 0.0000
O 0.6584 0.4408 0.1868
O 0.6584 0.4408 0.8132
O 0.6613 0.0259 0.5000
O 0.7482 0.7712 0.5000
O 0.7518 0.2712 0.5000
O 0.8387 0.5259 0.5000
O 0.8416 0.9408 0.1868
O 0.8416 0.9408 0.8132
O 0.8484 0.1511 0.0000
O 0.8687 0.5330 0.0000
O 0.9500 0.1145 0.5000
O 0.9756 0.3128 0.3043
O 0.9756 0.3128 0.6957